Li5ZrPd6: theoretical XRD peak list (Cu Kα (weighted mean of Kα1 and Kα2)), based on a DFT-relaxed cell (PBE, Alexandria).
Lines closer than 0.1° are merged.

Crystal structure
a = 4.1735 Å, b = 6.7823 Å, c = 6.5327 Å
α = 90.00°, β = 108.73°, γ = 90.00°
Atoms (fractional coordinates):
Li: 0.0000 0.0000 0.0000
Li: 0.3233 0.5000 0.6478
Li: 0.3334 0.0000 0.6669
Li: 0.6666 0.0000 0.3331
Li: 0.6767 0.5000 0.3522
Zr: 0.0000 0.5000 0.0000
Pd: 0.1688 0.2434 0.3368
Pd: 0.1688 0.7566 0.3368
Pd: 0.5000 0.2401 0.0000
Pd: 0.5000 0.7599 0.0000
Pd: 0.8312 0.2434 0.6632
Pd: 0.8312 0.7566 0.6632

Most intense lines, 15° ≤ 2θ ≤ 90°, sorted by position:
2theta, I_rel
26.28, 39
30.47, 53
40.67, 100
43.36, 21
43.90, 20
51.41, 12
51.89, 12
54.09, 10
63.36, 19
78.49, 14


CrTcIrOs: theoretical XRD peak list (Cu Kα (weighted mean of Kα1 and Kα2)), based on a DFT-relaxed cell (PBE, Alexandria).
Lines closer than 0.1° are merged.

Crystal structure
a = 2.6941 Å, b = 4.1836 Å, c = 10.7930 Å
α = 90.00°, β = 90.00°, γ = 90.00°
Atoms (fractional coordinates):
Cr: 0.0000 0.0000 0.0000
Cr: 0.5000 0.5000 0.5000
Tc: 0.0000 0.5000 0.1447
Tc: 0.5000 0.0000 0.6447
Ir: 0.0000 0.0000 0.4266
Ir: 0.5000 0.5000 0.9266
Os: 0.0000 0.5000 0.7189
Os: 0.5000 0.0000 0.2189

Most intense lines, 15° ≤ 2θ ≤ 90°, sorted by position:
2theta, I_rel
22.80, 47
33.20, 23
41.89, 26
43.31, 100
47.39, 31
55.59, 11
61.79, 17
70.35, 11
79.39, 13
86.30, 13


Na6AgHg: theoretical XRD peak list (Cu Kα (weighted mean of Kα1 and Kα2)), based on a DFT-relaxed cell (PBE, Alexandria).
Lines closer than 0.1° are merged.

Crystal structure
a = 6.0681 Å, b = 6.0682 Å, c = 6.1193 Å
α = 90.11°, β = 90.10°, γ = 91.75°
Atoms (fractional coordinates):
Na: 0.0004 0.9998 0.2472
Na: 0.9996 0.0002 0.7528
Na: 0.2472 0.4997 0.5006
Na: 0.4979 0.7474 0.0005
Na: 0.5021 0.2526 0.9995
Na: 0.7528 0.5003 0.4994
Ag: 0.0000 0.5000 0.0000
Hg: 0.5000 0.0000 0.5000

Most intense lines, 15° ≤ 2θ ≤ 90°, sorted by position:
2theta, I_rel
20.39, 26
20.62, 100
21.03, 24
29.19, 21
29.45, 40
35.85, 72
36.25, 23
36.60, 45
46.98, 18
56.18, 19


SrPr2AuO5: theoretical XRD peak list (Cu Kα (weighted mean of Kα1 and Kα2)), based on a DFT-relaxed cell (PBE, Alexandria).
Lines closer than 0.1° are merged.

Crystal structure
a = 6.8246 Å, b = 6.8246 Å, c = 6.1759 Å
α = 90.00°, β = 90.00°, γ = 90.00°
Atoms (fractional coordinates):
Sr: 0.0000 0.0000 0.0000
Sr: 0.5000 0.5000 0.0000
Pr: 0.1716 0.3284 0.5000
Pr: 0.3284 0.8284 0.5000
Pr: 0.6716 0.1716 0.5000
Pr: 0.8284 0.6716 0.5000
Au: 0.0000 0.5000 0.0000
Au: 0.5000 0.0000 0.0000
O: 0.0000 0.0000 0.5000
O: 0.1491 0.6491 0.2540
O: 0.1491 0.6491 0.7460
O: 0.3509 0.1491 0.2540
O: 0.3509 0.1491 0.7460
O: 0.5000 0.5000 0.5000
O: 0.6491 0.8509 0.2540
O: 0.6491 0.8509 0.7460
O: 0.8509 0.3509 0.2540
O: 0.8509 0.3509 0.7460

Most intense lines, 15° ≤ 2θ ≤ 90°, sorted by position:
2theta, I_rel
18.39, 28
28.91, 40
29.92, 100
32.73, 37
37.27, 24
41.60, 30
44.47, 25
47.84, 22
51.87, 22
55.91, 14


LaU2PdS5: theoretical XRD peak list (Cu Kα (weighted mean of Kα1 and Kα2)), based on a DFT-relaxed cell (PBE, Alexandria).
Lines closer than 0.1° are merged.

Crystal structure
a = 8.3860 Å, b = 8.3860 Å, c = 8.3860 Å
α = 128.20°, β = 128.20°, γ = 76.30°
Atoms (fractional coordinates):
La: 0.2500 0.2500 0.0000
La: 0.7500 0.7500 0.0000
U: 0.1191 0.6191 0.7382
U: 0.3809 0.1191 0.5000
U: 0.6191 0.8809 0.5000
U: 0.8809 0.3809 0.2618
Pd: 0.2500 0.7500 0.5000
Pd: 0.7500 0.2500 0.5000
S: 0.0000 0.0000 0.0000
S: 0.0427 0.1854 0.5000
S: 0.1854 0.6854 0.1427
S: 0.3146 0.4573 0.5000
S: 0.4573 0.9573 0.1427
S: 0.5000 0.5000 0.0000
S: 0.5427 0.0427 0.8573
S: 0.6854 0.5427 0.5000
S: 0.8146 0.3146 0.8573
S: 0.9573 0.8146 0.5000

Most intense lines, 15° ≤ 2θ ≤ 90°, sorted by position:
2theta, I_rel
17.12, 38
21.82, 54
27.04, 55
28.06, 66
34.13, 100
36.67, 42
44.07, 40
45.15, 42
49.41, 27
51.81, 45


La4Mg5Ge6: theoretical XRD peak list (Cu Kα (weighted mean of Kα1 and Kα2)), based on a DFT-relaxed cell (PBE, Alexandria).
Lines closer than 0.1° are merged.

Crystal structure
a = 10.3646 Å, b = 10.3646 Å, c = 16.2126 Å
α = 90.00°, β = 90.00°, γ = 154.76°
Atoms (fractional coordinates):
La: 0.0137 0.9863 0.5000
La: 0.0333 0.9667 0.7626
La: 0.1652 0.8348 0.3007
La: 0.1759 0.8241 0.9425
La: 0.8241 0.1759 0.4425
La: 0.8348 0.1652 0.8007
La: 0.9667 0.0333 0.2626
La: 0.9863 0.0137 0.0000
Mg: 0.1551 0.8449 0.6225
Mg: 0.3020 0.6980 0.6191
Mg: 0.3400 0.6600 0.2648
Mg: 0.3503 0.6497 0.9793
Mg: 0.4413 0.5587 0.6682
Mg: 0.5587 0.4413 0.1682
Mg: 0.6497 0.3503 0.4793
Mg: 0.6600 0.3400 0.7648
Mg: 0.6980 0.3020 0.1191
Mg: 0.8449 0.1551 0.1225
Ge: 0.1132 0.8868 0.1175
Ge: 0.2244 0.7756 0.4780
Ge: 0.2313 0.7687 0.7642
Ge: 0.4279 0.5721 0.1258
Ge: 0.4332 0.5668 0.3989
Ge: 0.4452 0.5548 0.8500
Ge: 0.5548 0.4452 0.3500
Ge: 0.5668 0.4332 0.8989
Ge: 0.5721 0.4279 0.6258
Ge: 0.7687 0.2313 0.2642
Ge: 0.7756 0.2244 0.9780
Ge: 0.8868 0.1132 0.6175

Most intense lines, 15° ≤ 2θ ≤ 90°, sorted by position:
2theta, I_rel
20.09, 26
28.22, 30
28.92, 34
29.61, 42
29.91, 69
30.13, 39
32.48, 26
34.03, 100
39.81, 57
48.02, 25


Question: Which formula does entry 3 have?
Answer: Na6AgHg